Entry 1:
For YTl2GaSe4, a DFT-relaxed cell (PBE, Alexandria) gives the calculated X-ray diffraction stick pattern in this record (Cu Kα).

Crystal structure
Unit cell a=8.5394 b=8.5394 c=8.5394 alpha=120.96 beta=119.89 gamma=89.27
Fractional coordinates of all 16 atoms:
Y (0.0000, 0.0000, 0.0000)
Y (0.5000, 0.0000, 0.5000)
Tl (0.0000, 0.5000, 0.5000)
Tl (0.5000, 0.0000, 0.0000)
Tl (0.5000, 0.5000, 0.0000)
Tl (0.5000, 0.5000, 0.5000)
Ga (0.0000, 0.0000, 0.5000)
Ga (0.0000, 0.5000, 0.0000)
Se (0.1993, 0.2396, 0.9597)
Se (0.2201, 0.7604, 0.4597)
Se (0.2296, 0.2064, 0.4768)
Se (0.2296, 0.7528, 0.0232)
Se (0.7704, 0.2472, 0.9768)
Se (0.7704, 0.7936, 0.5232)
Se (0.7799, 0.2396, 0.5403)
Se (0.8007, 0.7604, 0.0403)

Peak list (10 most intense, 10° ≤ 2θ ≤ 80°, low angle first)
25.5 deg, I = 14
25.8 deg, I = 13
29.4 deg, I = 52
29.8 deg, I = 100
42.3 deg, I = 90
43.0 deg, I = 18
52.3 deg, I = 17
52.9 deg, I = 19
69.3 deg, I = 14
70.0 deg, I = 14



Entry 2:
For Sm3TmP4, a DFT-relaxed cell (PBE, Alexandria) gives the calculated X-ray diffraction stick pattern in this record (Cu Kα).

Crystal structure
Unit cell a=8.1361 b=11.5052 c=4.0712 alpha=90.00 beta=90.00 gamma=90.00
Fractional coordinates of all 16 atoms:
Sm (0.0000, 0.0000, 0.0000)
Sm (0.2500, 0.2500, 0.5000)
Sm (0.2500, 0.7500, 0.5000)
Sm (0.5000, 0.5000, 0.0000)
Sm (0.7500, 0.2500, 0.5000)
Sm (0.7500, 0.7500, 0.5000)
Tm (0.0000, 0.5000, 0.0000)
Tm (0.5000, 0.0000, 0.0000)
P (0.0000, 0.2533, 0.0000)
P (0.0000, 0.7467, 0.0000)
P (0.2436, 0.5000, 0.5000)
P (0.2564, 0.0000, 0.5000)
P (0.5000, 0.2467, 0.0000)
P (0.5000, 0.7533, 0.0000)
P (0.7436, 0.0000, 0.5000)
P (0.7564, 0.5000, 0.5000)

Peak list (8 most intense, 10° ≤ 2θ ≤ 80°, low angle first)
26.8 deg, I = 84
31.1 deg, I = 100
44.5 deg, I = 73
52.8 deg, I = 42
55.3 deg, I = 26
64.8 deg, I = 12
71.5 deg, I = 17
73.6 deg, I = 33



Entry 3:
For Y2Ga3Au9, a DFT-relaxed cell (PBE, Alexandria) gives the calculated X-ray diffraction stick pattern in this record (Cu Kα).

Crystal structure
Unit cell a=8.0261 b=8.0261 c=10.7254 alpha=111.84 beta=111.84 gamma=60.22
Fractional coordinates of all 28 atoms:
Y (0.0828, 0.2514, 0.2463)
Y (0.2514, 0.0828, 0.7463)
Y (0.7486, 0.9172, 0.2537)
Y (0.9172, 0.7486, 0.7537)
Ga (0.0000, 0.5000, 0.0000)
Ga (0.1441, 0.6854, 0.5052)
Ga (0.3146, 0.8559, 0.9948)
Ga (0.5000, 0.0000, 0.5000)
Ga (0.6854, 0.1441, 0.0052)
Ga (0.8559, 0.3146, 0.4948)
Au (0.0256, 0.8605, 0.0846)
Au (0.1395, 0.9744, 0.4154)
Au (0.1908, 0.3585, 0.5712)
Au (0.1965, 0.5758, 0.2583)
Au (0.2921, 0.4791, 0.9215)
Au (0.3585, 0.1908, 0.0712)
Au (0.3601, 0.6399, 0.7500)
Au (0.4242, 0.8035, 0.2417)
Au (0.4791, 0.2921, 0.4215)
Au (0.5209, 0.7079, 0.5785)
Au (0.5758, 0.1965, 0.7583)
Au (0.6399, 0.3601, 0.2500)
Au (0.6415, 0.8092, 0.9288)
Au (0.7079, 0.5209, 0.0785)
Au (0.8035, 0.4242, 0.7417)
Au (0.8092, 0.6415, 0.4288)
Au (0.8605, 0.0256, 0.5846)
Au (0.9744, 0.1395, 0.9154)

Peak list (10 most intense, 10° ≤ 2θ ≤ 80°, low angle first)
24.0 deg, I = 13
28.9 deg, I = 16
35.7 deg, I = 100
38.8 deg, I = 43
38.9 deg, I = 24
43.2 deg, I = 12
43.7 deg, I = 19
53.8 deg, I = 14
68.2 deg, I = 22
68.3 deg, I = 13